Record 1
# CeNd2Sm4
Theoretical PXRD pattern, Cu Kα. Input: a structure optimized by DFT (PBE).
Intensities are scaled so that the largest is 100.

Crystal structure
abc: 6.3042 3.6403 20.6589
angles: 90.00 90.01 90.00
Fractional coordinates of all 14 atoms:
Ce 0.0000 0.0000 0.0000
Ce 0.5000 0.5000 0.0000
Nd 0.0002 0.0000 0.5718
Nd 0.0020 0.0000 0.2842
Nd 0.5002 0.5000 0.5718
Nd 0.5020 0.5000 0.2842
Sm 0.1668 0.5000 0.7167
Sm 0.1683 0.5000 0.4273
Sm 0.3342 0.0000 0.1395
Sm 0.3336 0.0000 0.8578
Sm 0.6668 0.0000 0.7167
Sm 0.6683 0.0000 0.4273
Sm 0.8342 0.5000 0.1395
Sm 0.8336 0.5000 0.8578

Main lines, low angle first (2θ = 10–90°):
| d [Å] | Position (°2θ) | I (rel.) |
| --- | --- | --- |
| 3.116 | 28.65 | 38 |
| 2.951 | 30.28 | 51 |
| 2.866 | 31.20 | 100 |
| 2.691 | 33.30 | 84 |
| 2.325 | 38.73 | 17 |
| 1.820 | 50.12 | 38 |
| 1.728 | 53.00 | 22 |
| 1.613 | 57.09 | 18 |
| 1.549 | 59.69 | 44 |
| 1.146 | 84.53 | 16 |



Record 2
# GeB
Theoretical PXRD pattern, Cu Kα. Input: a structure optimized by DFT (PBE).
Intensities are scaled so that the largest is 100.

Crystal structure
abc: 6.2483 5.7904 5.6557
angles: 66.16 57.96 55.89
Fractional coordinates of all 8 atoms:
Ge 0.0501 0.6999 0.0501
Ge 0.3001 0.9499 0.3001
Ge 0.6999 0.0501 0.6999
Ge 0.9499 0.3001 0.9499
B 0.0509 0.0509 0.6991
B 0.3009 0.3009 0.9491
B 0.6991 0.6991 0.0509
B 0.9491 0.9491 0.3009

Main lines, low angle first (2θ = 10–90°):
| d [Å] | Position (°2θ) | I (rel.) |
| --- | --- | --- |
| 4.738 | 18.73 | 100 |
| 3.122 | 28.59 | 58 |
| 2.830 | 31.61 | 89 |
| 2.786 | 32.13 | 22 |
| 2.572 | 34.89 | 69 |
| 2.252 | 40.03 | 25 |
| 2.001 | 45.32 | 44 |
| 1.819 | 50.15 | 41 |
| 1.751 | 52.23 | 18 |
| 1.579 | 58.43 | 20 |



Record 3
# Ba2MnSiPt6
Theoretical PXRD pattern, Cu Kα. Input: a structure optimized by DFT (PBE).
Intensities are scaled so that the largest is 100.

Crystal structure
abc: 6.7108 6.7108 8.1916
angles: 124.66 124.66 50.41
Fractional coordinates of all 10 atoms:
Ba 0.2387 0.2387 0.1784
Ba 0.7613 0.7613 0.8216
Mn 0.5000 0.5000 0.0000
Si 0.0000 0.0000 0.5000
Pt 0.2247 0.7133 0.7048
Pt 0.2487 0.2487 0.6265
Pt 0.2867 0.7753 0.2952
Pt 0.7133 0.2247 0.7048
Pt 0.7513 0.7513 0.3735
Pt 0.7753 0.2867 0.2952

Main lines, low angle first (2θ = 10–90°):
| d [Å] | Position (°2θ) | I (rel.) |
| --- | --- | --- |
| 6.371 | 13.90 | 37 |
| 6.009 | 14.74 | 24 |
| 4.089 | 21.74 | 25 |
| 3.185 | 28.01 | 76 |
| 3.091 | 28.89 | 36 |
| 3.004 | 29.74 | 50 |
| 2.445 | 36.76 | 100 |
| 2.361 | 38.11 | 45 |
| 2.343 | 38.43 | 80 |
| 2.070 | 43.74 | 29 |